This entry pairs a crystal structure of Zr4ZnAg with its calculated PXRD pattern. Radiation: a wavelength of 1.5418 Å. Structure: a GGA-PBE-relaxed structure.

```
24
Lattice="0.0000 6.3331 6.3331 6.3331 0.0000 6.3331 6.3331 6.3331 0.0000" Properties=species:S:1:pos:R:3 pbc="T T T"
Zr 6.3331 6.3331 2.3604
Zr 6.3331 2.3604 6.3331
Zr 10.3058 6.3331 6.3331
Zr 4.6870 4.6870 4.6870
Zr 7.9792 7.9792 4.6870
Zr 7.9792 4.6870 7.9792
Zr 9.4997 9.4997 7.1154
Zr 9.4997 7.1154 9.4997
Zr 11.8839 9.4997 9.4997
Zr 2.3604 6.3331 6.3331
Zr 6.3331 10.3058 6.3331
Zr 6.3331 6.3331 10.3058
Zr 4.6870 7.9792 7.9792
Zr 7.1154 9.4997 9.4997
Zr 9.4997 11.8839 9.4997
Zr 9.4997 9.4997 11.8839
Zn 1.9833 1.9833 1.9833
Zn 4.3498 4.3498 1.9833
Zn 4.3498 1.9833 4.3498
Zn 1.9833 4.3498 4.3498
Ag 7.3937 5.2725 5.2725
Ag 5.2725 7.3937 5.2725
Ag 5.2725 5.2725 7.3937
Ag 7.3937 7.3937 7.3937
```

Peak list (10 most intense, 2θ = 5–70°, low angle first)
2θ = 12.1°, I 7; 2θ = 30.8°, I 12; 2θ = 34.7°, I 33; 2θ = 36.9°, I 100; 2θ = 40.3°, I 27; 2θ = 42.2°, I 5; 2θ = 42.8°, I 8; 2θ = 55.7°, I 6; 2θ = 62.2°, I 32; 2θ = 63.6°, I 10